Diffraction record for Na2Gd2MgSi4O12F2. The X-ray powder pattern is calculated, not measured: it uses a structure optimized by DFT (GGA-PBE) and Cu Kα, 1.54184 Å.
Lines closer than 0.1° are merged.

Atomic structure:
Cell: 5.123 7.444 14.302 Å, 90.00 90.22 90.00°
Element x y z (fractional)
Na (0.002, 0.040, 0.212)
Na (0.002, 0.460, 0.712)
Na (0.998, 0.540, 0.288)
Na (0.998, 0.960, 0.788)
Gd (0.012, 0.230, 0.456)
Gd (0.012, 0.270, 0.956)
Gd (0.988, 0.730, 0.044)
Gd (0.988, 0.770, 0.544)
Mg (0.500, 0.000, 0.000)
Mg (0.500, 0.500, 0.500)
Si (0.464, 0.628, 0.887)
Si (0.464, 0.872, 0.387)
Si (0.475, 0.742, 0.187)
Si (0.475, 0.758, 0.687)
Si (0.525, 0.242, 0.313)
Si (0.525, 0.258, 0.813)
Si (0.536, 0.128, 0.613)
Si (0.536, 0.372, 0.113)
O (0.211, 0.242, 0.312)
O (0.211, 0.258, 0.812)
O (0.212, 0.554, 0.943)
O (0.212, 0.946, 0.443)
O (0.334, 0.621, 0.615)
O (0.334, 0.879, 0.115)
O (0.348, 0.727, 0.791)
O (0.348, 0.773, 0.291)
O (0.352, 0.542, 0.153)
O (0.352, 0.958, 0.653)
O (0.358, 0.237, 0.052)
O (0.358, 0.263, 0.552)
O (0.642, 0.737, 0.448)
O (0.642, 0.763, 0.948)
O (0.648, 0.042, 0.347)
O (0.648, 0.458, 0.847)
O (0.652, 0.227, 0.709)
O (0.652, 0.273, 0.209)
O (0.666, 0.121, 0.885)
O (0.666, 0.379, 0.385)
O (0.788, 0.054, 0.557)
O (0.788, 0.446, 0.057)
O (0.789, 0.742, 0.188)
O (0.789, 0.758, 0.688)
F (0.161, 0.542, 0.438)
F (0.161, 0.958, 0.938)
F (0.839, 0.042, 0.062)
F (0.839, 0.458, 0.562)

Peak list (12 most intense, 15° ≤ 2θ ≤ 90°, in order of falling intensity)
| 2theta | I (rel.) |
| --- | --- |
| 32.26 | 100 |
| 21.34 | 81 |
| 32.78 | 62 |
| 17.20 | 54 |
| 24.48 | 50 |
| 23.91 | 45 |
| 32.88 | 40 |
| 44.78 | 28 |
| 17.31 | 28 |
| 39.71 | 25 |
| 35.03 | 25 |
| 48.04 | 25 |